[1]
For La2InRh2, DFT lattice parameters and positions (PBE) gives the simulated powder X-ray diffraction pattern in this record (Cu Kα (weighted mean of Kα1 and Kα2)).
Kinematic intensities with the Lorentz-polarization factor, no thermal factor.

Structural model:
Unit cell a=7.7211 b=7.7211 c=3.9984 alpha=90.00 beta=90.00 gamma=90.00
Space group P4/mbm (No. 127)
Unique sites:
1 La 0.1716 0.3284 0.0000 (multiplicity 4)
2 In 0.0000 0.0000 0.5000 (multiplicity 2)
3 Rh 0.1333 0.6333 0.5000 (multiplicity 4)

Largest 10 diffraction maxima, in order of rising 2θ, 2θ = 10–80°:
- 2θ 32.2, intensity 28
- 2θ 32.8, intensity 9
- 2θ 34.3, intensity 100
- 2θ 36.8, intensity 42
- 2θ 45.4, intensity 16
- 2θ 54.1, intensity 14
- 2θ 59.8, intensity 20
- 2θ 66.0, intensity 8
- 2θ 69.7, intensity 13
- 2θ 76.6, intensity 9

[2]
For LaIn2Rh, DFT lattice parameters and positions (PBE) gives the simulated powder X-ray diffraction pattern in this record (Cu Kα (weighted mean of Kα1 and Kα2)).
Kinematic intensities with the Lorentz-polarization factor, no thermal factor.

Structural model:
Unit cell a=4.5508 b=10.2473 c=8.1335 alpha=90.00 beta=90.00 gamma=90.00
Space group Cmcm (No. 63)
Unique sites:
1 La 0.0000 0.0623 0.2500 (multiplicity 4)
2 In 0.0000 0.3514 0.0499 (multiplicity 8)
3 Rh 0.0000 0.2074 0.7500 (multiplicity 4)

Largest 10 diffraction maxima, in order of rising 2θ, 2θ = 10–80°:
- 2θ 30.7, intensity 100
- 2θ 32.8, intensity 23
- 2θ 34.6, intensity 51
- 2θ 36.8, intensity 31
- 2θ 37.5, intensity 20
- 2θ 39.6, intensity 68
- 2θ 39.7, intensity 28
- 2θ 55.2, intensity 19
- 2θ 60.1, intensity 17
- 2θ 67.2, intensity 15

[3]
For La3InS6, DFT lattice parameters and positions (PBE) gives the simulated powder X-ray diffraction pattern in this record (Cu Kα (weighted mean of Kα1 and Kα2)).
Kinematic intensities with the Lorentz-polarization factor, no thermal factor.

Structural model:
Unit cell a=14.0291 b=17.0219 c=4.1010 alpha=90.00 beta=90.00 gamma=90.00
Space group P2_12_12 (No. 18)
Unique sites:
1 La 0.0369 0.2198 0.2449 (multiplicity 4)
2 La 0.1899 0.6429 0.2589 (multiplicity 4)
3 La 0.2493 0.3905 0.2410 (multiplicity 4)
4 In 0.0000 0.0000 0.9132 (multiplicity 2)
5 In 0.0000 0.5000 0.7464 (multiplicity 2)
6 S 0.0200 0.3975 0.2467 (multiplicity 4)
7 S 0.1020 0.9122 0.2658 (multiplicity 4)
8 S 0.1081 0.1074 0.7453 (multiplicity 4)
9 S 0.1130 0.7445 0.7507 (multiplicity 4)
10 S 0.1772 0.2829 0.7414 (multiplicity 4)
11 S 0.1865 0.5173 0.7489 (multiplicity 4)

Largest 10 diffraction maxima, in order of rising 2θ, 2θ = 10–80°:
- 2θ 24.5, intensity 100
- 2θ 24.9, intensity 51
- 2θ 25.4, intensity 27
- 2θ 25.7, intensity 40
- 2θ 29.7, intensity 36
- 2θ 33.1, intensity 51
- 2θ 34.2, intensity 54
- 2θ 39.3, intensity 35
- 2θ 43.3, intensity 34
- 2θ 44.2, intensity 41

[4]
For La4In5S13, DFT lattice parameters and positions (PBE) gives the simulated powder X-ray diffraction pattern in this record (Cu Kα (weighted mean of Kα1 and Kα2)).
Kinematic intensities with the Lorentz-polarization factor, no thermal factor.

Structural model:
Unit cell a=11.9899 b=21.8740 c=4.0460 alpha=90.00 beta=90.00 gamma=90.00
Space group Pbam (No. 55)
Unique sites:
1 La 0.0194 0.1679 0.0000 (multiplicity 4)
2 La 0.1654 0.3434 0.0000 (multiplicity 4)
3 In 0.0000 0.5000 0.0000 (multiplicity 2)
4 In 0.1516 0.6707 0.5000 (multiplicity 4)
5 In 0.1549 0.9929 0.5000 (multiplicity 4)
6 S 0.0000 0.0000 0.0000 (multiplicity 2)
7 S 0.0002 0.4099 0.5000 (multiplicity 4)
8 S 0.0744 0.2615 0.5000 (multiplicity 4)
9 S 0.1543 0.8669 0.5000 (multiplicity 4)
10 S 0.1641 0.1130 0.5000 (multiplicity 4)
11 S 0.1733 0.7371 0.0000 (multiplicity 4)
12 S 0.2027 0.4786 0.0000 (multiplicity 4)

Largest 10 diffraction maxima, in order of rising 2θ, 2θ = 10–80°:
- 2θ 24.4, intensity 63
- 2θ 24.6, intensity 29
- 2θ 25.4, intensity 100
- 2θ 26.3, intensity 47
- 2θ 31.7, intensity 37
- 2θ 33.7, intensity 35
- 2θ 39.4, intensity 28
- 2θ 43.6, intensity 31
- 2θ 44.8, intensity 44
- 2θ 52.2, intensity 43

[5]
For La2InSi2, DFT lattice parameters and positions (PBE) gives the simulated powder X-ray diffraction pattern in this record (Cu Kα (weighted mean of Kα1 and Kα2)).
Kinematic intensities with the Lorentz-polarization factor, no thermal factor.

Structural model:
Unit cell a=7.7172 b=14.9365 c=4.4388 alpha=90.00 beta=90.00 gamma=90.00
Space group Pbam (No. 55)
Unique sites:
1 La 0.1121 0.2169 0.0000 (multiplicity 4)
2 La 0.2492 0.9647 0.0000 (multiplicity 4)
3 In 0.0647 0.6238 0.5000 (multiplicity 4)
4 Si 0.0511 0.0760 0.5000 (multiplicity 4)
5 Si 0.1787 0.8166 0.5000 (multiplicity 4)

Largest 10 diffraction maxima, in order of rising 2θ, 2θ = 10–80°:
- 2θ 26.0, intensity 18
- 2θ 29.3, intensity 36
- 2θ 30.7, intensity 24
- 2θ 31.3, intensity 100
- 2θ 33.0, intensity 28
- 2θ 33.4, intensity 52
- 2θ 37.0, intensity 21
- 2θ 40.7, intensity 27
- 2θ 53.2, intensity 16
- 2θ 55.4, intensity 26

[6]
For LaInW, DFT lattice parameters and positions (PBE) gives the simulated powder X-ray diffraction pattern in this record (Cu Kα (weighted mean of Kα1 and Kα2)).
Kinematic intensities with the Lorentz-polarization factor, no thermal factor.

Structural model:
Unit cell a=6.8271 b=6.8271 c=6.8271 alpha=90.00 beta=90.00 gamma=90.00
Space group F-43m (No. 216)
Unique sites:
1 La 0.0000 0.0000 0.0000 (multiplicity 4)
2 In 0.0000 0.0000 0.5000 (multiplicity 4)
3 W 0.2500 0.2500 0.7500 (multiplicity 4)

Largest 10 diffraction maxima, in order of rising 2θ, 2θ = 10–80°:
- 2θ 22.6, intensity 42
- 2θ 26.1, intensity 4
- 2θ 37.3, intensity 100
- 2θ 44.0, intensity 22
- 2θ 53.7, intensity 17
- 2θ 59.0, intensity 9
- 2θ 60.7, intensity 1
- 2θ 67.2, intensity 35
- 2θ 71.9, intensity 7
- 2θ 79.4, intensity 11

[7]
For LaYIn6, DFT lattice parameters and positions (PBE) gives the simulated powder X-ray diffraction pattern in this record (Cu Kα (weighted mean of Kα1 and Kα2)).
Kinematic intensities with the Lorentz-polarization factor, no thermal factor.

Structural model:
Unit cell a=4.7533 b=4.7533 c=9.3804 alpha=90.00 beta=90.00 gamma=90.00
Space group P4/mmm (No. 123)
Unique sites:
1 La 0.0000 0.0000 0.0000 (multiplicity 1)
2 Y 0.0000 0.0000 0.5000 (multiplicity 1)
3 In 0.0000 0.5000 0.2557 (multiplicity 4)
4 In 0.5000 0.5000 0.0000 (multiplicity 1)
5 In 0.5000 0.5000 0.5000 (multiplicity 1)

Largest 10 diffraction maxima, in order of rising 2θ, 2θ = 10–80°:
- 2θ 21.0, intensity 1
- 2θ 28.2, intensity 1
- 2θ 32.8, intensity 100
- 2θ 37.9, intensity 34
- 2θ 38.4, intensity 16
- 2θ 54.6, intensity 11
- 2θ 55.0, intensity 22
- 2θ 65.2, intensity 26
- 2θ 65.9, intensity 12
- 2θ 68.7, intensity 11

[8]
For Li2In, DFT lattice parameters and positions (PBE) gives the simulated powder X-ray diffraction pattern in this record (Cu Kα (weighted mean of Kα1 and Kα2)).
Kinematic intensities with the Lorentz-polarization factor, no thermal factor.

Structural model:
Unit cell a=4.7133 b=10.0315 c=4.7343 alpha=90.00 beta=90.00 gamma=90.00
Space group Cmcm (No. 63)
Unique sites:
1 Li 0.0000 0.0894 0.2500 (multiplicity 4)
2 Li 0.0000 0.2575 0.7500 (multiplicity 4)
3 In 0.0000 0.4108 0.2500 (multiplicity 4)

Largest 10 diffraction maxima, in order of rising 2θ, 2θ = 10–80°:
- 2θ 17.7, intensity 19
- 2θ 20.8, intensity 100
- 2θ 25.9, intensity 66
- 2θ 28.2, intensity 38
- 2θ 38.1, intensity 94
- 2θ 38.2, intensity 19
- 2θ 43.7, intensity 28
- 2θ 46.7, intensity 26
- 2θ 55.0, intensity 19
- 2θ 68.7, intensity 19

[9]
For LiIn, DFT lattice parameters and positions (PBE) gives the simulated powder X-ray diffraction pattern in this record (Cu Kα (weighted mean of Kα1 and Kα2)).
Kinematic intensities with the Lorentz-polarization factor, no thermal factor.

Structural model:
Unit cell a=6.8996 b=6.8996 c=6.8996 alpha=90.00 beta=90.00 gamma=90.00
Space group Fd-3m (No. 227, origin choice 2)
Unique sites:
1 Li 0.1250 0.1250 0.1250 (multiplicity 8)
2 In 0.1250 0.1250 0.6250 (multiplicity 8)

Largest 8 diffraction maxima, in order of rising 2θ, 2θ = 10–80°:
- 2θ 22.3, intensity 100
- 2θ 36.8, intensity 98
- 2θ 43.5, intensity 51
- 2θ 53.1, intensity 17
- 2θ 58.3, intensity 21
- 2θ 66.4, intensity 33
- 2θ 71.0, intensity 15
- 2θ 78.4, intensity 10

[10]
For LiIn3, DFT lattice parameters and positions (PBE) gives the simulated powder X-ray diffraction pattern in this record (Cu Kα (weighted mean of Kα1 and Kα2)).
Kinematic intensities with the Lorentz-polarization factor, no thermal factor.

Structural model:
Unit cell a=4.4861 b=4.4861 c=9.4494 alpha=90.00 beta=90.00 gamma=90.00
Space group I4/mmm (No. 139)
Unique sites:
1 Li 0.0000 0.0000 0.0000 (multiplicity 2)
2 In 0.0000 0.0000 0.5000 (multiplicity 2)
3 In 0.0000 0.5000 0.2500 (multiplicity 4)

Largest 10 diffraction maxima, in order of rising 2θ, 2θ = 10–80°:
- 2θ 18.8, intensity 11
- 2θ 21.9, intensity 30
- 2θ 34.0, intensity 100
- 2θ 38.1, intensity 18
- 2θ 40.2, intensity 31
- 2θ 56.6, intensity 22
- 2θ 58.2, intensity 10
- 2θ 66.3, intensity 14
- 2θ 69.1, intensity 24
- 2θ 71.7, intensity 11